Calculated powder X-ray diffraction pattern
Compound: AcTl2CoO6
Radiation: Cu Kα X-rays
Structure: DFT lattice parameters and positions (PBE+U)

Atomic structure:
Lattice parameters (Å, degrees): 5.7146 5.7146 15.2699 90.00 90.00 120.00
Space group R3 (No. 146, hexagonal axes)
One atom of each set of equivalent atoms:
Ac 0.0000 0.0000 0.0000
Tl 0.0000 0.0000 0.2179
Tl 0.0000 0.0000 0.7394
Co 0.0000 0.0000 0.5226
O 0.0520 0.3554 0.1179
O 0.0790 0.6789 0.2676

Most intense lines, 2θ from 10° to 90°, by angle:
- (1 0 1), 2θ 18.8, 4.708 Å, I = 210
- (0 1 2), 2θ 21.4, 4.153 Å, I = 157
- (1 0 4), 2θ 29.6, 3.023 Å, I = 1000
- (1 1 0), 2θ 31.3, 2.857 Å, I = 939
- (0 1 5), 2θ 34.5, 2.599 Å, I = 170
- (0 2 4), 2θ 43.6, 2.076 Å, I = 386
- (1 1 6), 2θ 47.9, 1.900 Å, I = 169
- (2 1 4), 2θ 54.6, 1.680 Å, I = 394
- (3 0 0), 2θ 55.7, 1.650 Å, I = 247
- (4 -3 4), 2θ 73.3, 1.292 Å, I = 156